This entry pairs a crystal structure of SrCa7TiMn7O22 with its simulated powder diffractogram. Radiation: Cu Kα. Structure: the GGA+U geometry in the Materials Project.
Kinematic intensities with the Lorentz-polarization factor, no thermal factor.

Crystal structure
abc: 10.8332 10.9605 7.7115
angles: 90.00 90.11 90.00
Space group Cm (No. 8)
Unique sites:
Sr 0.0000 0.0000 0.0000
Ca 0.0018 0.0000 0.4879
Ca 0.2436 0.2472 0.9851
Ca 0.2516 0.2440 0.4944
Ca 0.4970 0.0000 0.5328
Ca 0.4965 0.0000 0.9794
Ti 0.2382 0.5000 0.2493
Mn 0.2492 0.0000 0.7193
Mn 0.2491 0.5000 0.7253
Mn 0.2554 0.0000 0.2406
Mn 0.4969 0.2455 0.2211
Mn 0.4981 0.2493 0.7309
O 0.1255 0.1249 0.6993
O 0.1256 0.3766 0.1716
O 0.1267 0.3760 0.7744
O 0.1277 0.1246 0.2424
O 0.2051 0.5000 0.4723
O 0.2873 0.0000 0.4765
O 0.3680 0.1230 0.1682
O 0.3691 0.1240 0.7715
O 0.3691 0.3751 0.2404
O 0.3721 0.3748 0.6906
O 0.4968 0.2140 0.4743
O 0.4978 0.2816 0.9744

Largest 8 diffraction maxima, low angle first, 10° ≤ 2θ ≤ 90°:
hkl 0 0 2, 2θ = 23.08°, I 12; hkl 0 4 0, 2θ = 32.68°, I 19; hkl 2 2 2, 2θ = 32.86°, I 100; hkl 4 0 0, 2θ = 33.08°, I 19; hkl 4 4 0, 2θ = 47.17°, I 57; hkl 2 6 2, 2θ = 58.44°, I 19; hkl 6 2 -2, 2θ = 58.89°, I 13; hkl 6 6 -2, 2θ = 78.45°, I 9